Entry 1:
Starting from a cell relaxed with GGA-PBE, the powder diffractogram of Tm3ScPd3 was simulated for λ = 1.5418 Å (Cu Kα).
No peak broadening, texture or thermal motion is included.

```
data_Tm3ScPd3
_chemical_formula_sum 'Tm12 Sc4 Pd12'
_symmetry_space_group_name_H-M 'C 1 2/m 1'
_symmetry_Int_Tables_number 12
_cell_length_a 8.9778
_cell_length_b 10.1385
_cell_length_c 6.9550
_cell_angle_alpha 90.00
_cell_angle_beta 92.92
_cell_angle_gamma 90.00
loop_
_symmetry_equiv_pos_as_xyz
'x,y,z'
'-x,-y,-z'
'-x,y,-z'
'x,-y,z'
'x+1/2,y+1/2,z'
'-x+1/2,-y+1/2,-z'
'-x+1/2,y+1/2,-z'
'x+1/2,-y+1/2,z'
loop_
_atom_site_label
_atom_site_type_symbol
_atom_site_fract_x
_atom_site_fract_y
_atom_site_fract_z
Tm1 Tm 0.0000 0.1752 0.0000
Tm2 Tm 0.0000 0.2564 0.5000
Tm3 Tm 0.1525 0.5000 0.8687
Sc1 Sc 0.2400 0.5000 0.3828
Pd1 Pd 0.0611 0.0000 0.3114
Pd2 Pd 0.2392 0.2666 0.2186
```

Principal peaks in the range 10° ≤ 2θ ≤ 80°, low angle first:
2θ/deg	Rel. int.
31.26	87.6
33.22	28.1
33.43	53.6
35.41	39.6
36.50	100.0
38.86	24.8
40.23	15.2
44.18	35.1
49.50	15.8
55.99	41.2

***

Entry 2:
Starting from a cell relaxed with GGA-PBE, the powder diffractogram of Tm2ScPd was simulated for λ = 1.5418 Å (Cu Kα).
No peak broadening, texture or thermal motion is included.

```
data_Tm2ScPd
_chemical_formula_sum 'Tm8 Sc4 Pd4'
_symmetry_space_group_name_H-M 'C m c m'
_symmetry_Int_Tables_number 63
_symmetry_space_group_name_Hall '-C 2c 2'
_cell_length_a 3.6206
_cell_length_b 12.1381
_cell_length_c 8.8690
_cell_angle_alpha 90.00
_cell_angle_beta 90.00
_cell_angle_gamma 90.00
loop_
_atom_site_label
_atom_site_type_symbol
_atom_site_fract_x
_atom_site_fract_y
_atom_site_fract_z
Tm1 Tm 0.0000 0.1328 0.0559
Sc1 Sc 0.0000 0.4459 0.2500
Pd1 Pd 0.0000 0.2500 0.7500
```

Principal peaks in the range 10° ≤ 2θ ≤ 80°, low angle first:
2θ/deg	Rel. int.
14.60	35.5
25.68	55.5
32.77	82.7
33.20	74.8
33.72	84.7
34.75	71.4
35.86	96.3
39.08	37.3
40.07	100.0
63.40	36.4

***

Entry 3:
Starting from a cell relaxed with GGA-PBE, the powder diffractogram of Tm2ScPd9 was simulated for λ = 1.5418 Å (Cu Kα).
No peak broadening, texture or thermal motion is included.

```
data_Tm2ScPd9
_chemical_formula_sum 'Tm2 Sc1 Pd9'
_symmetry_space_group_name_H-M 'P 4/m m m'
_symmetry_Int_Tables_number 123
_symmetry_space_group_name_Hall '-P 4 2'
_cell_length_a 4.0693
_cell_length_b 4.0693
_cell_length_c 12.1788
_cell_angle_alpha 90.00
_cell_angle_beta 90.00
_cell_angle_gamma 90.00
loop_
_atom_site_label
_atom_site_type_symbol
_atom_site_fract_x
_atom_site_fract_y
_atom_site_fract_z
Tm1 Tm 0.0000 0.0000 0.1687
Sc1 Sc 0.0000 0.0000 0.5000
Pd1 Pd 0.0000 0.5000 0.0000
Pd2 Pd 0.0000 0.5000 0.3388
Pd3 Pd 0.5000 0.5000 0.1695
Pd4 Pd 0.5000 0.5000 0.5000
```

Principal peaks in the range 10° ≤ 2θ ≤ 80°, low angle first:
2θ/deg	Rel. int.
14.55	1.7
23.04	3.0
26.34	2.2
34.47	1.9
38.34	100.0
44.53	32.7
44.64	16.0
64.86	31.0
77.87	24.5
78.03	11.8

***

Entry 4:
Starting from a cell relaxed with GGA-PBE, the powder diffractogram of ScVPd3 was simulated for λ = 1.5418 Å (Cu Kα).
No peak broadening, texture or thermal motion is included.

```
data_ScVPd3
_chemical_formula_sum 'Sc1 V1 Pd3'
_symmetry_space_group_name_H-M 'P m -3 m'
_symmetry_Int_Tables_number 221
_symmetry_space_group_name_Hall '-P 4 2 3'
_cell_length_a 4.6154
_cell_length_b 4.6154
_cell_length_c 4.6154
_cell_angle_alpha 90.00
_cell_angle_beta 90.00
_cell_angle_gamma 90.00
loop_
_atom_site_label
_atom_site_type_symbol
_atom_site_fract_x
_atom_site_fract_y
_atom_site_fract_z
Sc1 Sc 0.0000 0.0000 0.0000
V1 V 0.5000 0.5000 0.5000
Pd1 Pd 0.0000 0.5000 0.5000
```

Principal peaks in the range 10° ≤ 2θ ≤ 80°, low angle first:
2θ/deg	Rel. int.
19.23	39.3
33.63	100.0
39.03	85.3
43.86	18.0
56.39	56.1
60.15	8.6
67.28	38.6
70.71	18.5
74.06	3.7

***

Copy entry 4 word for word.
Starting from a cell relaxed with GGA-PBE, the powder diffractogram of ScVPd3 was simulated for λ = 1.5418 Å (Cu Kα).
No peak broadening, texture or thermal motion is included.

```
data_ScVPd3
_chemical_formula_sum 'Sc1 V1 Pd3'
_symmetry_space_group_name_H-M 'P m -3 m'
_symmetry_Int_Tables_number 221
_symmetry_space_group_name_Hall '-P 4 2 3'
_cell_length_a 4.6154
_cell_length_b 4.6154
_cell_length_c 4.6154
_cell_angle_alpha 90.00
_cell_angle_beta 90.00
_cell_angle_gamma 90.00
loop_
_atom_site_label
_atom_site_type_symbol
_atom_site_fract_x
_atom_site_fract_y
_atom_site_fract_z
Sc1 Sc 0.0000 0.0000 0.0000
V1 V 0.5000 0.5000 0.5000
Pd1 Pd 0.0000 0.5000 0.5000
```

Principal peaks in the range 10° ≤ 2θ ≤ 80°, low angle first:
2θ/deg	Rel. int.
19.23	39.3
33.63	100.0
39.03	85.3
43.86	18.0
56.39	56.1
60.15	8.6
67.28	38.6
70.71	18.5
74.06	3.7

***

Question: Which formula does entry 1 have?
Answer: Tm3ScPd3